Entry 1:
Computed powder X-ray diffraction pattern of Gd11In9Pd4 for Cu Kα, 1.54184 Å, from the GGA-PBE geometry in OQMD.
No peak broadening, texture or thermal motion is included.

Structure:
Lattice parameters (Å, degrees): 14.720 22.129 3.720 90.00 90.00 90.00
Space group Cmmm (No. 65)
Inequivalent atoms, fractional coordinates:
Gd 0.000 0.000 0.000
Gd 0.000 0.161 0.000
Gd 0.000 0.372 0.000
Gd 0.192 0.500 0.000
Gd 0.243 0.171 0.000
In 0.000 0.500 0.500
In 0.105 0.262 0.500
In 0.145 0.071 0.500
Pd 0.152 0.399 0.500

Principal peaks in the range 10° ≤ 2θ ≤ 90°, in order of rising 2θ:
h k l  2theta  d [Å]  I (rel.)
2 4 1  31.42  2.847  10.2
3 3 1  32.55  2.751  12.8
0 6 1  34.25  2.618  100.0
4 6 0  34.43  2.605  40.8
3 5 1  36.46  2.464  15.4
1 9 0  37.07  2.425  9.5
6 2 0  37.55  2.395  10.2
0 0 2  48.97  1.860  15.1
4 6 2  61.23  1.514  15.1
3 13 1  62.97  1.476  8.9

Entry 2:
Computed powder X-ray diffraction pattern of TbSi2NiGe for Cu Kα, 1.54184 Å, from the GGA-PBE geometry in OQMD.
No peak broadening, texture or thermal motion is included.

Structure:
Lattice parameters (Å, degrees): 4.040 21.231 3.976 90.00 90.00 90.00
Space group Cmmm (No. 65)
Inequivalent atoms, fractional coordinates:
Tb 0.000 0.170 0.000
Si 0.000 0.281 0.500
Si 0.000 0.443 0.000
Ni 0.000 0.388 0.500
Ge 0.000 0.057 0.500

Principal peaks in the range 10° ≤ 2θ ≤ 90°, in order of rising 2θ:
h k l  2theta  d [Å]  I (rel.)
0 4 0  16.70  5.308  18.9
0 2 1  23.90  3.723  19.5
0 6 1  33.91  2.643  38.8
1 3 1  34.08  2.631  100.0
1 9 0  44.47  2.037  31.2
2 0 0  44.87  2.020  22.1
0 0 2  45.64  1.988  21.2
2 6 1  57.39  1.605  20.8
1 9 2  65.62  1.423  19.1
2 0 2  65.92  1.417  14.9